Simulated powder X-ray diffraction pattern of Th4FeSb2 for λ = 1.5418 Å (Cu Kα), from DFT lattice parameters and positions (GGA-PBE).

Cell and atoms:
a = 6.855 Å, b = 6.658 Å, c = 9.196 Å
α = 90.00°, β = 108.45°, γ = 90.00°
Space group P2_1/m (No. 11)
Unique sites:
Th  0.021  0.006  0.277 [4 per cell]
Th  0.356  0.750  0.068 [2 per cell]
Th  0.422  0.750  0.627 [2 per cell]
Fe  0.324  0.750  0.321 [2 per cell]
Sb  0.217  0.250  0.040 [2 per cell]
Sb  0.279  0.250  0.586 [2 per cell]

Most intense lines, 2θ = 10–90°, sorted by position:
| hkl | Position (°2θ) | I_rel |
| --- | --- | --- |
| 1 0 2 | 28.01 | 624 |
| 2 0 -2 | 28.58 | 788 |
| 1 2 0 | 30.16 | 1000 |
| 2 1 0 | 30.60 | 320 |
| 0 2 2 | 33.88 | 550 |
| 1 2 -2 | 34.04 | 617 |
| 2 2 0 | 38.71 | 309 |
| 1 0 -4 | 39.19 | 429 |


Simulated powder X-ray diffraction pattern of KNdMgSe3 for λ = 1.5418 Å (Cu Kα), from DFT lattice parameters and positions (GGA-PBE).

Cell and atoms:
a = 9.187 Å, b = 4.351 Å, c = 10.182 Å
α = 90.00°, β = 105.56°, γ = 90.00°
Space group P2_1/m (No. 11)
Unique sites:
K  0.197  0.250  0.216 [2 per cell]
Nd  0.332  0.750  0.860 [2 per cell]
Mg  0.085  0.250  0.605 [2 per cell]
Se  0.109  0.250  0.860 [2 per cell]
Se  0.201  0.750  0.536 [2 per cell]
Se  0.453  0.750  0.156 [2 per cell]

Most intense lines, 2θ = 10–90°, sorted by position:
| hkl | Position (°2θ) | I_rel |
| --- | --- | --- |
| 1 0 -1 | 11.53 | 1000 |
| 0 0 3 | 27.28 | 470 |
| 2 1 -1 | 28.50 | 899 |
| 2 1 0 | 28.78 | 409 |
| 2 1 2 | 37.09 | 185 |
| 0 2 0 | 41.51 | 244 |
| 2 1 -4 | 42.48 | 407 |
| 3 1 2 | 45.00 | 193 |


Simulated powder X-ray diffraction pattern of AcGaCuAu6 for λ = 1.5418 Å (Cu Kα), from DFT lattice parameters and positions (GGA-PBE).

Cell and atoms:
a = 8.460 Å, b = 8.529 Å, c = 11.972 Å
α = 90.00°, β = 90.00°, γ = 90.00°
Space group Imma (No. 74)
Unique sites:
Ac  0.000  0.250  0.118 [4 per cell]
Ga  0.000  0.000  0.500 [4 per cell]
Cu  0.250  0.250  0.750 [4 per cell]
Au  0.000  0.250  0.381 [4 per cell]
Au  0.000  0.250  0.864 [4 per cell]
Au  0.244  0.010  0.627 [16 per cell]

Most intense lines, 2θ = 10–90°, sorted by position:
| hkl | Position (°2θ) | I_rel |
| --- | --- | --- |
| 2 2 0 | 29.75 | 881 |
| 0 0 4 | 29.85 | 433 |
| 0 4 0 | 42.39 | 253 |
| 2 2 4 | 42.65 | 1000 |
| 4 0 0 | 42.75 | 253 |
| 4 0 4 | 53.02 | 178 |
| 6 2 0 | 70.29 | 225 |
| 6 2 4 | 78.23 | 252 |